Computed X-ray diffraction stick pattern
Compound: Mn2NiO3
Radiation: Cu Ka
Structure: a structure optimized by DFT (PBE+U)
Kinematic intensities with the Lorentz-polarization factor, no thermal factor.

```
Mn2NiO3
1.0
3.1211 0.0000 0.0000
0.0000 4.4150 0.0000
0.0000 0.0000 9.3163
Mn Ni O
4 2 6
direct
0.0000 0.0000 0.1653
0.0000 0.0000 0.8347
0.5000 0.5000 0.3347
0.5000 0.5000 0.6653
0.0000 0.0000 0.5000
0.5000 0.5000 0.0000
0.0000 0.5000 0.1583
0.0000 0.5000 0.5000
0.0000 0.5000 0.8417
0.5000 0.0000 0.0000
0.5000 0.0000 0.3417
0.5000 0.0000 0.6583
```

Principal peaks in the range 5 to 70 degrees two-theta, in order of rising 2θ:
(0 0 2), 4.658 Å, 19.05°, intensity 1; (0 1 1), 3.990 Å, 22.28°, intensity 1; (1 1 0), 2.549 Å, 35.21°, intensity 50; (0 1 3), 2.540 Å, 35.34°, intensity 50; (0 2 0), 2.208 Å, 40.88°, intensity 51; (1 0 3), 2.201 Å, 41.00°, intensity 100; (2 0 0), 1.559 Å, 59.27°, intensity 73; (0 0 6), 1.553 Å, 59.54°, intensity 14